No. 1
This entry pairs a crystal structure of BaGa4Cu4 with its theoretical powder diffractogram. Radiation: Cu Kα (λ = 1.5418 Å). Structure: DFT lattice parameters and positions (PBE).
Neutral-atom scattering factors, no anomalous dispersion.

Atomic structure:
Cell lengths 8.6526, 8.6526, 4.5280 Å; angles 90.00, 90.00, 90.00 degrees
Space group I4/m (No. 87)
Symmetry-distinct sites (fractional):
Ba: 0.0000 0.0000 0.0000
Ga: 0.1010 0.6212 0.5000
Cu: 0.1748 0.2949 0.5000

Largest 10 diffraction maxima, by intensity, 10 to 80 degrees two-theta:
(hkl)	2theta	Rel. int.
1 3 0	32.7	1000
3 2 1	42.6	998
1 2 1	30.4	789
1 4 1	47.8	658
0 0 2	39.8	655
1 3 2	52.5	508
2 2 0	29.2	461
5 1 2	69.2	374
4 3 1	57.0	309
1 0 1	22.2	220

***

No. 2
This entry pairs a crystal structure of Ba2GaCuO4 with its theoretical powder diffractogram. Radiation: Cu Kα (λ = 1.5418 Å). Structure: DFT lattice parameters and positions (PBE).
Neutral-atom scattering factors, no anomalous dispersion.

Atomic structure:
Cell lengths 4.7138, 11.5526, 19.7058 Å; angles 90.00, 90.00, 90.00 degrees
Space group Fddd (No. 70, origin choice 2)
Symmetry-distinct sites (fractional):
Ba: 0.1250 0.1250 0.3001
Ga: 0.1250 0.1250 0.6250
Cu: 0.1250 0.1250 0.1250
O: 0.1005 0.2659 0.8243

Largest 10 diffraction maxima, by intensity, 10 to 80 degrees two-theta:
(hkl)	2theta	Rel. int.
0 2 6	31.3	1000
1 1 3	24.5	667
1 3 3	33.0	553
2 2 0	41.4	476
0 4 0	31.0	401
2 0 6	47.5	346
2 4 6	57.8	319
1 3 5	37.8	227
0 6 6	55.3	209
1 5 3	45.9	169

***

No. 3
This entry pairs a crystal structure of Ba2GaCuPd6 with its theoretical powder diffractogram. Radiation: Cu Kα (λ = 1.5418 Å). Structure: DFT lattice parameters and positions (PBE).
Neutral-atom scattering factors, no anomalous dispersion.

Atomic structure:
Cell lengths 6.7562, 6.7704, 6.7708 Å; angles 60.85, 60.85, 60.92 degrees
Space group P-1 (No. 2)
Symmetry-distinct sites (fractional):
Ba: 0.2080 0.2081 0.2080
Ga: 0.5000 0.5000 0.5000
Cu: 0.0000 0.0000 0.0000
Pd: 0.2458 0.2474 0.6487
Pd: 0.2480 0.6491 0.2453
Pd: 0.3502 0.7541 0.7526

Largest 10 diffraction maxima, by intensity, 10 to 80 degrees two-theta:
(hkl)	2theta	Rel. int.
2 0 0	32.1	1000
1 2 2	31.1	899
2 2 0	37.4	700
1 0 2	30.8	507
1 0 -2	40.6	478
2 -1 2	48.9	461
2 0 -2	53.5	400
1 0 -1	26.0	362
2 2 3	41.3	342
1 1 1	16.2	255

***

No. 4
This entry pairs a crystal structure of Ba2Ga4CuPd3 with its theoretical powder diffractogram. Radiation: Cu Kα (λ = 1.5418 Å). Structure: DFT lattice parameters and positions (PBE).
Neutral-atom scattering factors, no anomalous dispersion.

Atomic structure:
Cell lengths 4.5595, 4.5595, 10.5008 Å; angles 90.00, 90.00, 90.00 degrees
Space group P-4m2 (No. 115)
Symmetry-distinct sites (fractional):
Ba: 0.0000 0.5000 0.2448
Ga: 0.0000 0.0000 0.5000
Ga: 0.0000 0.5000 0.8882
Ga: 0.5000 0.5000 0.5000
Cu: 0.5000 0.5000 0.0000
Pd: 0.0000 0.0000 0.0000
Pd: 0.0000 0.5000 0.6257

Largest 10 diffraction maxima, by intensity, 10 to 80 degrees two-theta:
(hkl)	2theta	Rel. int.
1 1 2	32.6	1000
1 0 3	32.2	942
2 0 0	39.5	847
2 1 3	51.9	482
2 2 0	57.1	287
1 0 5	47.7	243
3 1 2	67.3	236
1 1 4	44.5	232
1 1 0	27.7	219
1 1 6	60.2	218

***

No. 5
This entry pairs a crystal structure of BaGaCuS3 with its theoretical powder diffractogram. Radiation: Cu Kα (λ = 1.5418 Å). Structure: DFT lattice parameters and positions (PBE).
Neutral-atom scattering factors, no anomalous dispersion.

Atomic structure:
Cell lengths 12.0953, 7.1578, 7.6658 Å; angles 90.00, 113.67, 90.00 degrees
Space group C2/m (No. 12)
Symmetry-distinct sites (fractional):
Ba: 0.2012 0.0000 0.2086
Ga: 0.0488 0.5000 0.2538
Cu: 0.0000 0.2057 0.5000
S: 0.0609 0.2396 0.8059
S: 0.2433 0.5000 0.3540

Largest 10 diffraction maxima, by intensity, 10 to 80 degrees two-theta:
(hkl)	2theta	Rel. int.
2 2 -1	29.7	1000
3 1 -1	25.5	503
1 1 -2	26.5	396
0 2 2	35.8	345
0 0 3	38.5	336
0 0 2	25.4	328
6 2 -1	52.6	314
4 0 -1	29.5	266
3 1 0	27.2	261
3 1 2	44.0	224

***

No. 6
This entry pairs a crystal structure of BaGaCu2S4 with its theoretical powder diffractogram. Radiation: Cu Kα (λ = 1.5418 Å). Structure: DFT lattice parameters and positions (PBE).
Neutral-atom scattering factors, no anomalous dispersion.

Atomic structure:
Cell lengths 6.4270, 6.4401, 8.3572 Å; angles 90.00, 90.00, 90.00 degrees
Space group I222 (No. 23)
Symmetry-distinct sites (fractional):
Ba: 0.0000 0.0000 0.0000
Ga: 0.0000 0.0000 0.5000
Cu: 0.0000 0.5000 0.2486
S: 0.1991 0.1985 0.3291

Largest 10 diffraction maxima, by intensity, 10 to 80 degrees two-theta:
(hkl)	2theta	Rel. int.
1 1 2	29.0	1000
3 1 2	49.9	466
2 2 0	39.6	314
0 2 0	27.7	249
2 0 4	52.2	223
1 2 1	32.9	114
2 2 4	60.1	96
0 2 2	35.1	85
2 4 0	64.8	77
1 1 6	70.7	75

***

No. 7
This entry pairs a crystal structure of BaSr2GaCu with its theoretical powder diffractogram. Radiation: Cu Kα (λ = 1.5418 Å). Structure: DFT lattice parameters and positions (PBE).
Neutral-atom scattering factors, no anomalous dispersion.

Atomic structure:
Cell lengths 6.0244, 6.0244, 4.9185 Å; angles 90.00, 90.00, 90.00 degrees
Space group P4/mmm (No. 123)
Symmetry-distinct sites (fractional):
Ba: 0.0000 0.0000 0.0000
Sr: 0.0000 0.5000 0.5000
Ga: 0.5000 0.5000 0.0000
Cu: 0.5000 0.5000 0.5000

Largest 10 diffraction maxima, by intensity, 10 to 80 degrees two-theta:
(hkl)	2theta	Rel. int.
1 1 1	27.7	1000
2 0 0	29.7	877
2 0 2	47.7	481
2 2 0	42.4	356
3 1 1	51.4	356
2 2 2	57.2	265
1 0 1	23.3	255
0 0 2	36.5	250
4 2 0	69.8	145
2 1 1	38.1	141

***

No. 8
This entry pairs a crystal structure of Ba2GdCu2HgO7 with its theoretical powder diffractogram. Radiation: Cu Kα (λ = 1.5418 Å). Structure: DFT lattice parameters and positions (PBE).
Neutral-atom scattering factors, no anomalous dispersion.

Atomic structure:
Cell lengths 3.8892, 3.8892, 12.7910 Å; angles 90.00, 90.00, 90.00 degrees
Space group P4/mmm (No. 123)
Symmetry-distinct sites (fractional):
Ba: 0.0000 0.0000 0.2014
Gd: 0.0000 0.0000 0.5000
Cu: 0.5000 0.5000 0.3663
Hg: 0.5000 0.5000 0.0000
O: 0.0000 0.0000 0.0000
O: 0.0000 0.5000 0.3852
O: 0.5000 0.5000 0.1661

Largest 10 diffraction maxima, by intensity, 10 to 80 degrees two-theta:
(hkl)	2theta	Rel. int.
1 0 3	31.1	1000
1 1 0	32.6	623
2 1 3	57.2	365
2 0 0	46.7	307
1 0 2	26.8	165
1 0 1	23.9	162
1 1 6	54.5	149
1 1 4	43.4	142
1 0 7	55.6	103
0 0 5	35.1	102

***

No. 9
This entry pairs a crystal structure of BaCu9Ge4 with its theoretical powder diffractogram. Radiation: Cu Kα (λ = 1.5418 Å). Structure: DFT lattice parameters and positions (PBE).
Neutral-atom scattering factors, no anomalous dispersion.

Atomic structure:
Cell lengths 8.3903, 8.3903, 12.0985 Å; angles 90.00, 90.00, 90.00 degrees
Space group I4/mcm (No. 140)
Symmetry-distinct sites (fractional):
Ba: 0.0000 0.0000 0.2500
Cu: 0.0000 0.5000 0.0000
Cu: 0.0615 0.2044 0.0000
Cu: 0.1166 0.3834 0.1779
Ge: 0.1786 0.3214 0.3797

Largest 10 diffraction maxima, by intensity, 10 to 80 degrees two-theta:
(hkl)	2theta	Rel. int.
3 1 2	37.0	1000
0 0 6	45.0	780
4 1 1	45.2	699
2 1 5	44.6	679
2 0 4	36.6	556
1 1 4	33.2	285
3 1 0	33.8	275
2 2 2	33.6	267
4 2 0	48.5	227
4 0 4	53.1	215

***

No. 10
This entry pairs a crystal structure of Ba2CuGe2 with its theoretical powder diffractogram. Radiation: Cu Kα (λ = 1.5418 Å). Structure: DFT lattice parameters and positions (PBE).
Neutral-atom scattering factors, no anomalous dispersion.

Atomic structure:
Cell lengths 4.6677, 4.4300, 14.3705 Å; angles 90.00, 90.00, 90.00 degrees
Space group Amm2 (No. 38)
Symmetry-distinct sites (fractional):
Ba: 0.0000 0.0000 0.0000
Ba: 0.0000 0.0000 0.2375
Cu: 0.5000 0.0000 0.8440
Ge: 0.5000 0.0000 0.4142
Ge: 0.5000 0.0000 0.5975

Largest 10 diffraction maxima, by intensity, 10 to 80 degrees two-theta:
(hkl)	2theta	Rel. int.
1 1 1	28.5	1000
1 0 4	31.4	729
0 1 5	37.3	433
1 2 4	52.3	338
2 1 5	54.7	335
2 0 0	38.6	285
0 2 0	40.7	250
1 1 3	33.6	249
2 2 0	57.3	175
1 1 9	65.3	142

***

No. 11
This entry pairs a crystal structure of Ba7Cu3H17 with its theoretical powder diffractogram. Radiation: Cu Kα (λ = 1.5418 Å). Structure: DFT lattice parameters and positions (PBE).
Neutral-atom scattering factors, no anomalous dispersion.

Atomic structure:
Cell lengths 11.8280, 11.8280, 7.5160 Å; angles 90.00, 90.00, 120.00 degrees
Space group P31c (No. 159)
Symmetry-distinct sites (fractional):
Ba: 0.1039 0.5443 0.0000
Ba: 0.1213 0.2703 0.3553
Ba: 0.3333 0.6667 0.5177
Cu: 0.1589 0.8167 0.7683
H: 0.0738 0.6691 0.6862
H: 0.0854 0.8994 0.7039
H: 0.0976 0.4023 0.6786
H: 0.1244 0.4958 0.3413
H: 0.1720 0.8220 0.9871
H: 0.3333 0.6667 0.1624
H: 0.3333 0.6667 0.8523

Largest 10 diffraction maxima, by intensity, 10 to 80 degrees two-theta:
(hkl)	2theta	Rel. int.
2 1 1	25.9	1000
2 2 0	30.2	306
1 0 2	25.2	290
2 0 2	29.5	237
3 2 2	45.5	211
3 0 3	44.9	208
5 0 1	45.9	185
3 0 1	28.7	165
2 0 3	40.1	153
2 1 0	23.0	140

***

No. 12
This entry pairs a crystal structure of BaCu2H7 with its theoretical powder diffractogram. Radiation: Cu Kα (λ = 1.5418 Å). Structure: DFT lattice parameters and positions (PBE).
Neutral-atom scattering factors, no anomalous dispersion.

Atomic structure:
Cell lengths 4.8322, 9.7326, 3.9080 Å; angles 90.00, 90.00, 90.00 degrees
Space group Cmmm (No. 65)
Symmetry-distinct sites (fractional):
Ba: 0.0000 0.0000 0.0000
Cu: 0.0000 0.3156 0.5000
H: 0.0000 0.3284 0.0000
H: 0.0000 0.5000 0.5000
H: 0.1592 0.1569 0.5000

Largest 10 diffraction maxima, by intensity, 10 to 80 degrees two-theta:
(hkl)	2theta	Rel. int.
1 1 1	30.8	1000
0 2 1	29.3	841
1 3 0	33.3	810
2 2 1	48.1	409
1 5 1	56.1	327
2 0 0	37.2	323
1 3 2	58.3	308
1 1 0	20.5	220
0 0 2	46.5	176
2 0 2	61.0	144